This entry pairs a crystal structure of LaSm4Ho3 with its computed powder diffraction line list. Radiation: λ = 1.5418 Å (Cu Kα). Structure: the GGA-PBE geometry in Alexandria.
No peak broadening, texture or thermal motion is included.

Crystal structure
```
data_LaSm4Ho3
_chemical_formula_sum 'La2 Sm8 Ho6'
_cell_length_a 11.550
_cell_length_b 7.341
_cell_length_c 6.335
_cell_angle_alpha 90.00
_cell_angle_beta 90.00
_cell_angle_gamma 90.00
_symmetry_space_group_name_H-M 'P 1'
_symmetry_Int_Tables_number 1
loop_
_symmetry_equiv_pos_as_xyz
'x,y,z'
loop_
_atom_site_label
_atom_site_fract_x
_atom_site_fract_y
_atom_site_fract_z
La1 0.000 0.125 0.000
La2 0.500 0.875 0.500
Sm1 0.000 0.375 0.506
Sm2 0.000 0.628 0.000
Sm3 0.247 0.626 0.338
Sm4 0.253 0.374 0.838
Sm5 0.500 0.372 0.500
Sm6 0.500 0.625 0.006
Sm7 0.747 0.374 0.838
Sm8 0.753 0.626 0.338
Ho1 0.000 0.875 0.503
Ho2 0.249 0.123 0.336
Ho3 0.251 0.877 0.836
Ho4 0.500 0.125 0.003
Ho5 0.749 0.877 0.836
Ho6 0.751 0.123 0.336
```

Main lines, by intensity (15° ≤ 2θ ≤ 90°):
(hkl)  2θ (°)  I_rel
2 2 1  32.19  100.0
4 0 0  30.97  24.6
0 0 2  28.12  23.7
6 2 1  55.86  20.9
4 0 2  42.32  15.8
4 2 3  59.82  15.1
0 2 3  49.82  13.1
2 4 2  60.46  10.9
4 4 0  59.70  7.6
0 4 0  49.67  6.6